Entry 1:
Diffraction record for ScZnPd. The X-ray diffraction stick pattern is simulated, not measured: it uses DFT lattice parameters and positions (PBE) and a wavelength of 1.5418 Å.
Lines closer than 0.1° are merged.

Cell lengths 4.3275, 9.1057, 5.3082 Å; angles 90.00, 90.00, 90.00 degrees
Space group Cmcm (No. 63)
Inequivalent atoms, fractional coordinates:
Sc: 0.0000 0.2059 0.2500
Zn: 0.0000 0.5000 0.0000
Pd: 0.0000 0.0997 0.7500

Top 8 peaks for 2θ from 5° to 70°, in order of rising 2θ:
d 4.553, I = 26
d 3.456, I = 37
d 2.485, I = 46
d 2.251, I = 65
d 2.196, I = 100
d 2.164, I = 41
d 2.092, I = 16
d 1.678, I = 18

Entry 2:
Diffraction record for Pa2TlI11. The X-ray diffraction stick pattern is simulated, not measured: it uses DFT lattice parameters and positions (PBE) and a wavelength of 1.5418 Å.
Lines closer than 0.1° are merged.

Cell lengths 13.9939, 14.0881, 15.8885 Å; angles 90.00, 90.00, 90.00 degrees
Space group Ibam (No. 72)
Inequivalent atoms, fractional coordinates:
Pa: 0.1590 0.1573 0.0000
Tl: 0.0000 0.5000 0.2500
I: 0.0000 0.0000 0.0000
I: 0.0532 0.2612 0.1308
I: 0.1974 0.1996 0.5000
I: 0.2365 0.4486 0.3695

Top 8 peaks for 2θ from 5° to 70°, in order of rising 2θ:
d 7.944, I = 39
d 6.203, I = 70
d 5.840, I = 77
d 5.261, I = 40
d 3.143, I = 24
d 3.101, I = 100
d 3.055, I = 46
d 2.012, I = 23

Entry 3:
Diffraction record for Tb2FeSi4. The X-ray diffraction stick pattern is simulated, not measured: it uses DFT lattice parameters and positions (PBE) and a wavelength of 1.5418 Å.
Lines closer than 0.1° are merged.

Cell lengths 3.9759, 4.0689, 16.0712 Å; angles 90.00, 90.00, 90.00 degrees
Space group Amm2 (No. 38)
Inequivalent atoms, fractional coordinates:
Tb: 0.0000 0.0000 0.0000
Tb: 0.5000 0.0000 0.2172
Fe: 0.0000 0.0000 0.3551
Si: 0.0000 0.0000 0.6459
Si: 0.0000 0.0000 0.8002
Si: 0.5000 0.0000 0.4134
Si: 0.5000 0.0000 0.5629

Top 8 peaks for 2θ from 5° to 70°, in order of rising 2θ:
d 3.944, I = 41
d 3.564, I = 61
d 2.800, I = 47
d 2.522, I = 57
d 2.512, I = 100
d 2.221, I = 39
d 2.034, I = 26
d 1.561, I = 26

What did the first record say?
Diffraction record for ScZnPd. The X-ray diffraction stick pattern is simulated, not measured: it uses DFT lattice parameters and positions (PBE) and a wavelength of 1.5418 Å.
Lines closer than 0.1° are merged.

Cell lengths 4.3275, 9.1057, 5.3082 Å; angles 90.00, 90.00, 90.00 degrees
Space group Cmcm (No. 63)
Inequivalent atoms, fractional coordinates:
Sc: 0.0000 0.2059 0.2500
Zn: 0.0000 0.5000 0.0000
Pd: 0.0000 0.0997 0.7500

Top 8 peaks for 2θ from 5° to 70°, in order of rising 2θ:
d 4.553, I = 26
d 3.456, I = 37
d 2.485, I = 46
d 2.251, I = 65
d 2.196, I = 100
d 2.164, I = 41
d 2.092, I = 16
d 1.678, I = 18